# 1
# PuHg3F6
Simulated powder XRD pattern, Cu Kα. Input: a GGA-PBE-relaxed structure.

Peak list (10 most intense, 2θ from 15° to 90°, sorted by position)
- (1 0 0), 2θ = 19.52°, I 26
- (1 0 1), 2θ = 22.74°, I 35
- (0 0 2), 2θ = 23.23°, I 58
- (1 1 0), 2θ = 34.14°, I 68
- (2 -1 1), 2θ = 36.16°, I 32
- (1 1 2), 2θ = 41.70°, I 100
- (2 -1 4), 2θ = 59.77°, I 34
- (3 0 0), 2θ = 61.12°, I 19
- (3 0 2), 2θ = 66.30°, I 21
- (4 -2 2), 2θ = 76.73°, I 17

Cell and atoms:
a = 5.2524 Å, b = 5.2524 Å, c = 7.6588 Å
α = 90.00°, β = 90.00°, γ = 120.00°
Space group P-31m (No. 162)
Inequivalent atoms, fractional coordinates:
Pu: 0.0000 0.0000 0.0000 [1 per cell]
Hg: 0.0000 0.0000 0.5000 [1 per cell]
Hg: 0.3333 0.6667 0.5000 [2 per cell]
F: 0.0000 0.3129 0.8298 [6 per cell]

# 2
# La8Pr4Tm
Simulated powder XRD pattern, Cu Kα. Input: a GGA-PBE-relaxed structure.

Peak list (10 most intense, 2θ from 15° to 90°, sorted by position)
- (0 0 3), 2θ = 22.17°, I 28
- (1 1 3), 2θ = 26.79°, I 20
- (2 2 0), 2θ = 29.95°, I 100
- (3 0 3), 2θ = 34.32°, I 11
- (2 2 3), 2θ = 37.58°, I 43
- (6 0 0), 2θ = 53.18°, I 20
- (2 2 6), 2θ = 55.19°, I 18
- (6 0 3), 2θ = 58.30°, I 12
- (4 4 0), 2θ = 62.24°, I 12
- (8 2 0), 2θ = 86.27°, I 10

Cell and atoms:
a = 11.9331 Å, b = 11.9331 Å, c = 12.0306 Å
α = 90.00°, β = 90.00°, γ = 120.00°
Space group R-3m (No. 166, hexagonal axes)
Inequivalent atoms, fractional coordinates:
La: 0.0000 0.0000 0.2373 [6 per cell]
La: 0.0011 0.5005 0.6706 [18 per cell]
Pr: 0.0000 0.0000 0.0000 [3 per cell]
Pr: 0.0000 0.5000 0.0000 [9 per cell]
Tm: 0.0000 0.0000 0.5000 [3 per cell]

# 3
# K3Tm2ScO6
Simulated powder XRD pattern, Cu Kα. Input: a GGA-PBE-relaxed structure.

Peak list (10 most intense, 2θ from 15° to 90°, sorted by position)
- (0 0 2), 2θ = 28.73°, I 35
- (1 3 0), 2θ = 31.07°, I 26
- (2 0 0), 2θ = 32.19°, I 67
- (1 3 1), 2θ = 36.37°, I 100
- (1 3 2), 2θ = 46.18°, I 17
- (2 0 2), 2θ = 50.12°, I 35
- (0 6 0), 2θ = 54.56°, I 30
- (3 3 0), 2θ = 56.69°, I 17
- (1 3 3), 2θ = 58.80°, I 17
- (3 3 1), 2θ = 62.82°, I 23

Cell and atoms:
a = 5.8261 Å, b = 10.0916 Å, c = 6.5116 Å
α = 90.00°, β = 107.35°, γ = 90.00°
Space group C2/m (No. 12)
Inequivalent atoms, fractional coordinates:
K: 0.0000 0.0000 0.0000 [2 per cell]
K: 0.0000 0.3349 0.0000 [4 per cell]
Tm: 0.0000 0.1667 0.5000 [4 per cell]
Sc: 0.0000 0.5000 0.5000 [2 per cell]
O: 0.2221 0.3383 0.6813 [8 per cell]
O: 0.2369 0.0000 0.6810 [4 per cell]

# 4
# CaWBr2
Simulated powder XRD pattern, Cu Kα. Input: a GGA-PBE-relaxed structure.

Peak list (10 most intense, 2θ from 15° to 90°, sorted by position)
- (0 1 1), 2θ = 18.71°, I 100
- (1 0 3), 2θ = 32.57°, I 36
- (1 1 2), 2θ = 34.07°, I 53
- (0 2 0), 2θ = 35.48°, I 26
- (0 0 6), 2θ = 39.73°, I 14
- (1 1 4), 2θ = 41.29°, I 63
- (1 2 3), 2θ = 48.93°, I 23
- (0 1 7), 2θ = 50.27°, I 12
- (0 2 6), 2θ = 54.32°, I 11
- (1 3 4), 2θ = 67.66°, I 16

Cell and atoms:
a = 3.4560 Å, b = 5.0598 Å, c = 13.6115 Å
α = 90.00°, β = 90.00°, γ = 90.00°
Space group Immm (No. 71)
Inequivalent atoms, fractional coordinates:
Ca: 0.0000 0.0000 0.0000 [2 per cell]
W: 0.0000 0.0000 0.5000 [2 per cell]
Br: 0.0000 0.5000 0.1430 [4 per cell]